Starting from a crystal structure in Alexandria, relaxed with GGA-PBE, the XRD peak list of Sc2BeTe was calculated for Cu Kα, 1.54184 Å.
Kinematic intensities with the Lorentz-polarization factor, no thermal factor.

```
data_Sc2BeTe
_symmetry_space_group_name_H-M 'A m m 2'
_symmetry_Int_Tables_number 38
_cell_length_a 3.786
_cell_length_b 4.018
_cell_length_c 10.440
_cell_angle_alpha 90.00
_cell_angle_beta 90.00
_cell_angle_gamma 90.00
loop_
_symmetry_equiv_pos_as_xyz
'x,y,z'
'-x,-y,z'
'-x,y,z'
'x,-y,z'
'x,y+1/2,z+1/2'
'-x,-y+1/2,z+1/2'
'-x,y+1/2,z+1/2'
'x,-y+1/2,z+1/2'
loop_
_atom_site_label
_atom_site_fract_x
_atom_site_fract_y
_atom_site_fract_z
Sc1 0.000 0.000 0.000
Sc2 0.500 0.000 0.300
Be1 0.000 0.000 0.751
Te1 0.500 0.000 0.585
```

Most intense lines, 10° ≤ 2θ ≤ 90°, in order of rising 2θ:
hkl	2θ (°)	I/Imax
0 0 2	17.0	50
1 0 0	23.5	31
0 1 1	23.7	28
1 0 2	29.1	18
1 1 1	33.6	100
0 1 3	34.1	49
0 0 4	34.4	19
1 1 3	41.8	48
1 0 4	42.0	31
0 2 0	45.1	19

=====

Starting from a crystal structure in Alexandria, relaxed with GGA-PBE, the XRD peak list of TbZn2Ag4 was calculated for Cu Kα, 1.54184 Å.
Kinematic intensities with the Lorentz-polarization factor, no thermal factor.

```
data_TbZn2Ag4
_symmetry_space_group_name_H-M 'I 4/m m m'
_symmetry_Int_Tables_number 139
_symmetry_space_group_name_Hall '-I 4 2'
_cell_length_a 7.018
_cell_length_b 7.018
_cell_length_c 5.319
_cell_angle_alpha 90.00
_cell_angle_beta 90.00
_cell_angle_gamma 90.00
loop_
_atom_site_label
_atom_site_fract_x
_atom_site_fract_y
_atom_site_fract_z
Tb1 0.000 0.000 0.000
Zn1 0.000 0.500 0.250
Ag1 0.197 0.197 0.500
```

Most intense lines, 10° ≤ 2θ ≤ 90°, in order of rising 2θ:
hkl	2θ (°)	I/Imax
2 1 1	33.1	100
0 0 2	33.7	35
2 2 0	36.2	89
1 1 2	38.4	54
3 0 1	42.2	98
2 0 2	42.7	38
3 0 3	66.1	25
3 3 2	66.6	32
5 2 1	75.0	31
5 1 2	78.2	21

=====

Starting from a crystal structure in Alexandria, relaxed with GGA-PBE, the XRD peak list of MgZnAg2 was calculated for Cu Kα, 1.54184 Å.
Kinematic intensities with the Lorentz-polarization factor, no thermal factor.

```
data_MgZnAg2
_symmetry_space_group_name_H-M 'I -4 m 2'
_symmetry_Int_Tables_number 119
_symmetry_space_group_name_Hall 'I -4 -2'
_cell_length_a 3.996
_cell_length_b 3.996
_cell_length_c 8.618
_cell_angle_alpha 90.00
_cell_angle_beta 90.00
_cell_angle_gamma 90.00
loop_
_atom_site_label
_atom_site_fract_x
_atom_site_fract_y
_atom_site_fract_z
Mg1 0.000 0.000 0.000
Zn1 0.000 0.500 0.250
Ag1 0.000 0.000 0.500
Ag2 0.000 0.500 0.750
```

Most intense lines, 10° ≤ 2θ ≤ 90°, in order of rising 2θ:
hkl	2θ (°)	I/Imax
1 0 1	24.6	28
1 1 2	38.1	100
1 0 3	38.6	9
0 0 4	41.9	19
2 0 0	45.4	30
2 0 4	63.5	21
2 2 0	66.1	9
1 1 6	74.0	13
3 1 2	78.9	22
2 2 4	81.5	10

=====

Starting from a crystal structure in Alexandria, relaxed with GGA-PBE, the XRD peak list of CsLiCeF6 was calculated for Cu Kα, 1.54184 Å.
Kinematic intensities with the Lorentz-polarization factor, no thermal factor.

```
data_CsLiCeF6
_symmetry_space_group_name_H-M 'I m m a'
_symmetry_Int_Tables_number 74
_symmetry_space_group_name_Hall '-I 2b 2'
_cell_length_a 7.335
_cell_length_b 8.005
_cell_length_c 10.422
_cell_angle_alpha 90.00
_cell_angle_beta 90.00
_cell_angle_gamma 90.00
loop_
_atom_site_label
_atom_site_fract_x
_atom_site_fract_y
_atom_site_fract_z
Cs1 0.000 0.250 0.091
Li1 0.250 0.250 0.750
Ce1 0.000 0.000 0.500
F1 0.000 0.250 0.386
F2 0.000 0.250 0.640
F3 0.246 0.038 0.620
```

Most intense lines, 10° ≤ 2θ ≤ 90°, in order of rising 2θ:
hkl	2θ (°)	I/Imax
0 0 2	17.0	56
1 1 2	23.7	39
2 0 0	24.3	32
1 2 1	26.8	100
0 2 2	28.1	22
2 0 2	29.8	28
2 1 3	37.4	23
3 2 1	44.3	25
0 4 0	45.3	29
2 2 4	48.5	43